# 1
Starting from the GGA+U geometry in the Materials Project, the X-ray powder pattern of Li8VO6 was computed for Cu Kα (weighted mean of Kα1 and Kα2).

Peak list (12 most intense, 2θ from 10° to 80°, by angle)
2θ 17.67, rel. 84.2
2θ 19.58, rel. 62.0
2θ 19.90, rel. 66.1
2θ 20.04, rel. 67.9
2θ 22.19, rel. 100.0
2θ 22.65, rel. 48.0
2θ 37.29, rel. 70.6
2θ 37.48, rel. 69.6
2θ 38.51, rel. 56.8
2θ 48.98, rel. 38.1
2θ 49.18, rel. 44.4
2θ 50.41, rel. 39.0

Atomic structure:
```
data_Li8VO6
_space_group_name_H-M_alt 'P 1'
_space_group_IT_number 1
_space_group_name_Hall 'P 1'
_cell_length_a 5.441
_cell_length_b 8.071
_cell_length_c 11.712
_cell_angle_alpha 97.48
_cell_angle_beta 91.15
_cell_angle_gamma 90.83
loop_
_atom_site_label
_atom_site_type_symbol
_atom_site_fract_x
_atom_site_fract_y
_atom_site_fract_z
Li1 Li 0.057 0.456 0.153
Li2 Li 0.057 0.456 0.654
Li3 Li 0.079 0.818 0.335
Li4 Li 0.080 0.819 0.835
Li5 Li 0.113 0.121 0.990
Li6 Li 0.114 0.121 0.490
Li7 Li 0.241 0.098 0.288
Li8 Li 0.242 0.098 0.788
Li9 Li 0.258 0.402 0.462
Li10 Li 0.260 0.403 0.962
Li11 Li 0.386 0.379 0.260
Li12 Li 0.387 0.379 0.760
Li13 Li 0.420 0.681 0.415
Li14 Li 0.421 0.682 0.914
Li15 Li 0.442 0.044 0.096
Li16 Li 0.443 0.044 0.596
Li17 Li 0.557 0.956 0.404
Li18 Li 0.558 0.956 0.904
Li19 Li 0.579 0.318 0.086
Li20 Li 0.580 0.319 0.585
Li21 Li 0.613 0.621 0.240
Li22 Li 0.614 0.621 0.740
Li23 Li 0.740 0.597 0.038
Li24 Li 0.742 0.598 0.538
Li25 Li 0.758 0.902 0.212
Li26 Li 0.759 0.902 0.712
Li27 Li 0.886 0.879 0.510
Li28 Li 0.887 0.879 0.010
Li29 Li 0.920 0.181 0.165
Li30 Li 0.921 0.182 0.665
Li31 Li 0.943 0.544 0.346
Li32 Li 0.943 0.544 0.847
V1 V 0.250 0.750 0.125
V2 V 0.250 0.750 0.625
V3 V 0.750 0.250 0.375
V4 V 0.750 0.250 0.875
O1 O 0.057 0.325 0.295
O2 O 0.058 0.325 0.795
O3 O 0.093 0.684 0.475
O4 O 0.094 0.685 0.975
O5 O 0.106 0.984 0.126
O6 O 0.106 0.984 0.626
O7 O 0.393 0.516 0.624
O8 O 0.394 0.515 0.124
O9 O 0.406 0.816 0.275
O10 O 0.407 0.816 0.774
O11 O 0.442 0.175 0.955
O12 O 0.443 0.175 0.455
O13 O 0.557 0.825 0.545
O14 O 0.558 0.825 0.045
O15 O 0.593 0.184 0.226
O16 O 0.594 0.184 0.725
O17 O 0.606 0.485 0.876
O18 O 0.607 0.484 0.376
O19 O 0.894 0.016 0.374
O20 O 0.894 0.016 0.874
O21 O 0.906 0.315 0.025
O22 O 0.907 0.316 0.525
O23 O 0.942 0.675 0.205
O24 O 0.943 0.675 0.705
```

# 2
Starting from the GGA+U geometry in the Materials Project, the X-ray powder pattern of Li2V18O39 was computed for Cu Kα (weighted mean of Kα1 and Kα2).

Peak list (12 most intense, 2θ from 10° to 80°, by angle)
2θ 14.89, rel. 35.2
2θ 17.12, rel. 31.1
2θ 24.94, rel. 100.0
2θ 25.80, rel. 65.3
2θ 29.63, rel. 32.2
2θ 32.91, rel. 40.5
2θ 43.68, rel. 26.3
2θ 44.88, rel. 30.2
2θ 48.65, rel. 38.0
2θ 52.29, rel. 14.8
2θ 55.87, rel. 12.5
2θ 68.33, rel. 13.4

Atomic structure:
```
data_Li2V18O39
_space_group_name_H-M_alt 'P 1'
_space_group_IT_number 1
_space_group_name_Hall 'P 1'
_cell_length_a 3.743
_cell_length_b 11.285
_cell_length_c 17.506
_cell_angle_alpha 75.35
_cell_angle_beta 89.98
_cell_angle_gamma 80.47
loop_
_atom_site_label
_atom_site_type_symbol
_atom_site_fract_x
_atom_site_fract_y
_atom_site_fract_z
Li1 Li 0.000 0.000 0.000
Li2 Li 0.466 0.051 0.681
V1 V 0.046 0.910 0.318
V2 V 0.098 0.803 0.686
V3 V 0.147 0.704 0.516
V4 V 0.182 0.632 0.240
V5 V 0.290 0.424 0.437
V6 V 0.325 0.348 0.165
V7 V 0.374 0.250 0.995
V8 V 0.428 0.143 0.362
V9 V 0.477 0.047 0.188
V10 V 0.540 0.929 0.891
V11 V 0.601 0.766 0.101
V12 V 0.665 0.657 0.813
V13 V 0.715 0.570 0.650
V14 V 0.759 0.483 0.031
V15 V 0.801 0.395 0.868
V16 V 0.842 0.288 0.578
V17 V 0.943 0.123 0.789
V18 V 0.995 0.005 0.492
O1 O 0.011 0.985 0.889
O2 O 0.030 0.941 0.708
O3 O 0.064 0.869 0.570
O4 O 0.082 0.833 0.433
O5 O 0.113 0.778 0.287
O6 O 0.131 0.749 0.126
O7 O 0.158 0.682 0.795
O8 O 0.187 0.626 0.638
O9 O 0.213 0.576 0.481
O10 O 0.239 0.523 0.343
O11 O 0.264 0.474 0.201
O12 O 0.286 0.427 0.043
O13 O 0.314 0.370 0.886
O14 O 0.348 0.307 0.552
O15 O 0.364 0.274 0.394
O16 O 0.391 0.217 0.248
O17 O 0.408 0.183 0.110
O18 O 0.441 0.112 0.972
O19 O 0.470 0.067 0.791
O20 O 0.492 0.012 0.465
O21 O 0.517 0.968 0.307
O22 O 0.535 0.930 0.143
O23 O 0.577 0.871 0.005
O24 O 0.602 0.799 0.859
O25 O 0.625 0.750 0.695
O26 O 0.652 0.694 0.544
O27 O 0.677 0.651 0.219
O28 O 0.690 0.620 0.058
O29 O 0.729 0.540 0.912
O30 O 0.743 0.513 0.769
O31 O 0.781 0.433 0.623
O32 O 0.801 0.398 0.464
O33 O 0.821 0.358 0.137
O34 O 0.848 0.303 0.986
O35 O 0.873 0.253 0.821
O36 O 0.921 0.184 0.674
O37 O 0.935 0.123 0.536
O38 O 0.957 0.084 0.373
O39 O 0.981 0.039 0.215
```

# 3
Starting from the GGA+U geometry in the Materials Project, the X-ray powder pattern of LiV2O5 was computed for Cu Kα (weighted mean of Kα1 and Kα2).

Peak list (12 most intense, 2θ from 10° to 80°, by angle)
2θ 15.27, rel. 18.2
2θ 18.05, rel. 100.0
2θ 19.62, rel. 21.8
2θ 26.13, rel. 56.3
2θ 29.38, rel. 28.9
2θ 30.81, rel. 31.4
2θ 30.98, rel. 34.8
2θ 34.19, rel. 22.2
2θ 36.57, rel. 12.4
2θ 44.26, rel. 15.9
2θ 46.97, rel. 12.4
2θ 51.21, rel. 19.4

Atomic structure:
```
data_LiV2O5
_space_group_name_H-M_alt 'P 1'
_space_group_IT_number 1
_space_group_name_Hall 'P 1'
_cell_length_a 4.914
_cell_length_b 3.568
_cell_length_c 11.607
_cell_angle_alpha 90.00
_cell_angle_beta 90.06
_cell_angle_gamma 90.00
loop_
_atom_site_label
_atom_site_type_symbol
_atom_site_fract_x
_atom_site_fract_y
_atom_site_fract_z
Li1 Li 0.000 0.000 0.000
Li2 Li 0.355 0.500 0.499
V1 V 0.539 0.500 0.911
V2 V 0.606 0.500 0.210
V3 V 0.749 0.000 0.710
V4 V 0.816 0.000 0.412
O1 O 0.079 0.000 0.704
O2 O 0.150 0.000 0.440
O3 O 0.206 0.500 0.941
O4 O 0.276 0.500 0.203
O5 O 0.628 0.500 0.742
O6 O 0.643 0.000 0.563
O7 O 0.670 0.500 0.385
O8 O 0.684 0.000 0.885
O9 O 0.713 0.500 0.063
O10 O 0.727 0.000 0.242
```

# 4
Starting from the GGA+U geometry in the Materials Project, the X-ray powder pattern of Li5V7O12 was computed for Cu Kα (weighted mean of Kα1 and Kα2).

Peak list (12 most intense, 2θ from 10° to 80°, by angle)
2θ 18.17, rel. 30.6
2θ 19.59, rel. 20.4
2θ 20.69, rel. 14.0
2θ 23.50, rel. 28.7
2θ 36.78, rel. 23.7
2θ 42.41, rel. 100.0
2θ 43.44, rel. 47.0
2θ 61.39, rel. 13.2
2θ 61.67, rel. 14.0
2θ 62.26, rel. 13.7
2θ 62.35, rel. 39.2
2θ 78.17, rel. 11.5

Atomic structure:
```
data_Li5V7O12
_space_group_name_H-M_alt 'P 1'
_space_group_IT_number 1
_space_group_name_Hall 'P 1'
_cell_length_a 5.135
_cell_length_b 5.205
_cell_length_c 9.945
_cell_angle_alpha 84.67
_cell_angle_beta 79.00
_cell_angle_gamma 60.50
loop_
_atom_site_label
_atom_site_type_symbol
_atom_site_fract_x
_atom_site_fract_y
_atom_site_fract_z
Li1 Li 0.000 0.000 0.000
Li2 Li 0.079 0.333 0.753
Li3 Li 0.321 0.331 0.995
Li4 Li 0.492 0.002 0.508
Li5 Li 0.834 0.333 0.510
V1 V 0.165 0.658 0.504
V2 V 0.248 0.997 0.254
V3 V 0.411 0.669 0.753
V4 V 0.587 0.317 0.253
V5 V 0.668 0.658 0.003
V6 V 0.742 0.008 0.754
V7 V 0.925 0.642 0.254
O1 O 0.016 0.686 0.875
O2 O 0.124 0.978 0.634
O3 O 0.197 0.333 0.383
O4 O 0.294 0.656 0.130
O5 O 0.390 0.979 0.874
O6 O 0.452 0.351 0.633
O7 O 0.542 0.656 0.377
O8 O 0.644 0.964 0.129
O9 O 0.688 0.352 0.874
O10 O 0.789 0.687 0.632
O11 O 0.884 0.965 0.378
O12 O 0.962 0.332 0.125
```

# 5
Starting from the GGA+U geometry in the Materials Project, the X-ray powder pattern of Li2V18O39 was computed for Cu Kα (weighted mean of Kα1 and Kα2).

Peak list (12 most intense, 2θ from 10° to 80°, by angle)
2θ 14.92, rel. 34.9
2θ 17.12, rel. 29.7
2θ 24.91, rel. 100.0
2θ 25.80, rel. 63.3
2θ 29.70, rel. 29.3
2θ 32.92, rel. 40.8
2θ 43.69, rel. 25.6
2θ 44.98, rel. 29.2
2θ 48.59, rel. 36.7
2θ 52.29, rel. 13.8
2θ 58.90, rel. 26.3
2θ 68.36, rel. 12.9

Atomic structure:
```
data_Li2V18O39
_space_group_name_H-M_alt 'P 1'
_space_group_IT_number 1
_space_group_name_Hall 'P 1'
_cell_length_a 11.282
_cell_length_b 11.282
_cell_length_c 17.479
_cell_angle_alpha 104.73
_cell_angle_beta 104.73
_cell_angle_gamma 19.12
loop_
_atom_site_label
_atom_site_type_symbol
_atom_site_fract_x
_atom_site_fract_y
_atom_site_fract_z
Li1 Li 0.240 0.240 0.340
Li2 Li 0.760 0.760 0.660
V1 V 0.052 0.052 0.099
V2 V 0.089 0.089 0.825
V3 V 0.139 0.139 0.655
V4 V 0.192 0.192 0.022
V5 V 0.241 0.241 0.848
V6 V 0.298 0.298 0.551
V7 V 0.381 0.381 0.763
V8 V 0.434 0.434 0.472
V9 V 0.477 0.477 0.309
V10 V 0.523 0.523 0.691
V11 V 0.566 0.566 0.528
V12 V 0.619 0.619 0.237
V13 V 0.702 0.702 0.449
V14 V 0.759 0.759 0.152
V15 V 0.808 0.808 0.978
V16 V 0.861 0.861 0.345
V17 V 0.911 0.911 0.175
V18 V 0.948 0.948 0.901
O1 O 0.000 0.000 0.000
O2 O 0.026 0.026 0.860
O3 O 0.051 0.051 0.702
O4 O 0.079 0.079 0.546
O5 O 0.109 0.109 0.212
O6 O 0.126 0.126 0.053
O7 O 0.154 0.154 0.907
O8 O 0.172 0.172 0.770
O9 O 0.208 0.208 0.632
O10 O 0.230 0.230 0.451
O11 O 0.256 0.256 0.126
O12 O 0.279 0.279 0.967
O13 O 0.299 0.299 0.803
O14 O 0.330 0.330 0.666
O15 O 0.363 0.363 0.520
O16 O 0.388 0.388 0.354
O17 O 0.416 0.416 0.205
O18 O 0.435 0.435 0.875
O19 O 0.454 0.454 0.717
O20 O 0.494 0.494 0.572
O21 O 0.506 0.506 0.428
O22 O 0.546 0.546 0.283
O23 O 0.565 0.565 0.125
O24 O 0.584 0.584 0.795
O25 O 0.612 0.612 0.646
O26 O 0.637 0.637 0.480
O27 O 0.670 0.670 0.334
O28 O 0.701 0.701 0.197
O29 O 0.721 0.721 0.033
O30 O 0.744 0.744 0.874
O31 O 0.770 0.770 0.549
O32 O 0.792 0.792 0.368
O33 O 0.828 0.828 0.230
O34 O 0.846 0.846 0.093
O35 O 0.874 0.874 0.947
O36 O 0.891 0.891 0.788
O37 O 0.921 0.921 0.454
O38 O 0.949 0.949 0.298
O39 O 0.974 0.974 0.140
```

# 6
Starting from the GGA+U geometry in the Materials Project, the X-ray powder pattern of LiV3O4 was computed for Cu Kα (weighted mean of Kα1 and Kα2).

Peak list (12 most intense, 2θ from 10° to 80°, by angle)
2θ 20.86, rel. 15.1
2θ 23.03, rel. 25.3
2θ 23.21, rel. 14.8
2θ 29.43, rel. 12.3
2θ 36.12, rel. 27.2
2θ 36.58, rel. 26.3
2θ 41.69, rel. 53.7
2θ 42.49, rel. 100.0
2θ 61.04, rel. 71.7
2θ 62.27, rel. 13.1
2θ 76.63, rel. 13.1
2θ 77.75, rel. 12.4

Atomic structure:
```
data_LiV3O4
_space_group_name_H-M_alt 'P 1'
_space_group_IT_number 1
_space_group_name_Hall 'P 1'
_cell_length_a 5.199
_cell_length_b 5.199
_cell_length_c 4.253
_cell_angle_alpha 113.22
_cell_angle_beta 113.22
_cell_angle_gamma 49.26
loop_
_atom_site_label
_atom_site_type_symbol
_atom_site_fract_x
_atom_site_fract_y
_atom_site_fract_z
Li1 Li 0.000 0.000 0.000
V1 V 0.251 0.251 0.737
V2 V 0.500 0.500 0.500
V3 V 0.749 0.749 0.263
O1 O 0.000 0.000 0.500
O2 O 0.254 0.254 0.241
O3 O 0.500 0.500 0.000
O4 O 0.746 0.746 0.759
```

# 7
Starting from the GGA+U geometry in the Materials Project, the X-ray powder pattern of LiV6O15 was computed for Cu Kα (weighted mean of Kα1 and Kα2).

Peak list (12 most intense, 2θ from 10° to 80°, by angle)
2θ 12.16, rel. 100.0
2θ 18.23, rel. 19.9
2θ 26.08, rel. 78.2
2θ 27.50, rel. 25.8
2θ 28.92, rel. 39.9
2θ 30.16, rel. 34.0
2θ 32.47, rel. 28.5
2θ 41.25, rel. 21.3
2θ 44.87, rel. 14.4
2θ 50.00, rel. 27.7
2θ 60.85, rel. 15.6
2θ 66.74, rel. 14.3

Atomic structure:
```
data_LiV6O15
_space_group_name_H-M_alt 'P 1'
_space_group_IT_number 1
_space_group_name_Hall 'P 1'
_cell_length_a 7.936
_cell_length_b 7.936
_cell_length_c 10.327
_cell_angle_alpha 108.99
_cell_angle_beta 108.99
_cell_angle_gamma 26.58
loop_
_atom_site_label
_atom_site_type_symbol
_atom_site_fract_x
_atom_site_fract_y
_atom_site_fract_z
Li1 Li 0.000 0.000 0.000
V1 V 0.131 0.131 0.629
V2 V 0.306 0.306 0.931
V3 V 0.346 0.346 0.617
V4 V 0.672 0.672 0.403
V5 V 0.725 0.725 0.099
V6 V 0.895 0.895 0.398
O1 O 0.012 0.012 0.511
O2 O 0.119 0.119 0.780
O3 O 0.193 0.193 0.454
O4 O 0.257 0.257 0.091
O5 O 0.274 0.274 0.727
O6 O 0.376 0.376 0.436
O7 O 0.421 0.421 0.984
O8 O 0.448 0.448 0.729
O9 O 0.571 0.571 0.288
O10 O 0.613 0.613 0.037
O11 O 0.645 0.645 0.583
O12 O 0.746 0.746 0.288
O13 O 0.767 0.767 0.941
O14 O 0.826 0.826 0.559
O15 O 0.901 0.901 0.243
```

# 8
Starting from the GGA+U geometry in the Materials Project, the X-ray powder pattern of LiV6O15 was computed for Cu Kα (weighted mean of Kα1 and Kα2).

Peak list (12 most intense, 2θ from 10° to 80°, by angle)
2θ 11.71, rel. 100.0
2θ 18.50, rel. 13.2
2θ 25.76, rel. 57.7
2θ 27.30, rel. 14.5
2θ 28.38, rel. 25.7
2θ 29.23, rel. 25.4
2θ 31.75, rel. 16.6
2θ 34.86, rel. 9.3
2θ 40.21, rel. 18.7
2θ 44.44, rel. 9.9
2θ 49.38, rel. 20.3
2θ 60.14, rel. 12.0

Atomic structure:
```
data_LiV6O15
_space_group_name_H-M_alt 'P 1'
_space_group_IT_number 1
_space_group_name_Hall 'P 1'
_cell_length_a 8.332
_cell_length_b 8.332
_cell_length_c 10.308
_cell_angle_alpha 110.96
_cell_angle_beta 110.96
_cell_angle_gamma 25.59
loop_
_atom_site_label
_atom_site_type_symbol
_atom_site_fract_x
_atom_site_fract_y
_atom_site_fract_z
Li1 Li 0.000 0.000 0.000
V1 V 0.169 0.169 0.985
V2 V 0.214 0.214 0.676
V3 V 0.371 0.371 0.978
V4 V 0.619 0.619 0.201
V5 V 0.786 0.786 0.504
V6 V 0.839 0.839 0.205
O1 O 0.068 0.068 0.873
O2 O 0.109 0.109 0.614
O3 O 0.136 0.136 0.159
O4 O 0.235 0.235 0.872
O5 O 0.254 0.254 0.516
O6 O 0.315 0.315 0.152
O7 O 0.377 0.377 0.822
O8 O 0.507 0.507 0.081
O9 O 0.613 0.613 0.355
O10 O 0.687 0.687 0.036
O11 O 0.743 0.743 0.664
O12 O 0.763 0.763 0.313
O13 O 0.875 0.875 0.042
O14 O 0.891 0.891 0.571
O15 O 0.934 0.934 0.330
```